For Pm2NdHo5, a crystal structure in Alexandria, relaxed with PBE gives the calculated X-ray diffraction stick pattern in this record (CuKα).

The 7 most intense peaks (2θ = 10–80°), sorted by position:
2theta	I/Imax
30.63	1000
35.51	506
51.10	361
60.76	429
63.77	124
75.12	38
75.28	19

Atomic structure:
Cell lengths 7.152, 14.310, 5.050 Å; angles 90.00, 90.00, 90.00 degrees
Sites, in units of the cell vectors:
Pm 0.248 0.126 0.000
Pm 0.252 0.626 0.000
Pm 0.748 0.374 0.000
Pm 0.752 0.874 0.000
Nd 0.000 0.500 0.500
Nd 0.500 0.000 0.500
Ho 0.000 0.000 0.500
Ho 0.002 0.751 0.500
Ho 0.249 0.374 0.000
Ho 0.251 0.874 0.000
Ho 0.498 0.251 0.500
Ho 0.500 0.500 0.500
Ho 0.502 0.749 0.500
Ho 0.749 0.126 0.000
Ho 0.751 0.626 0.000
Ho 0.998 0.249 0.500

For Pm5Nd12Ho, a crystal structure in Alexandria, relaxed with PBE gives the calculated X-ray diffraction stick pattern in this record (CuKα).

The 10 most intense peaks (2θ = 10–80°), sorted by position:
2theta	I/Imax
30.18	255
30.68	127
30.89	1000
31.25	67
43.67	123
54.05	146
54.85	76
55.02	61
61.06	108
61.85	74

Atomic structure:
Cell lengths 10.608, 10.608, 5.923 Å; angles 90.01, 90.01, 110.31 degrees
Sites, in units of the cell vectors:
Pm 0.000 0.000 0.000
Pm 0.137 0.863 0.500
Pm 0.364 0.636 0.000
Pm 0.636 0.364 0.000
Pm 0.863 0.137 0.500
Nd 0.027 0.669 0.008
Nd 0.169 0.526 0.492
Nd 0.201 0.201 0.550
Nd 0.302 0.302 0.049
Nd 0.331 0.973 0.992
Nd 0.474 0.831 0.508
Nd 0.526 0.169 0.492
Nd 0.669 0.027 0.008
Nd 0.698 0.698 0.951
Nd 0.799 0.799 0.450
Nd 0.831 0.474 0.508
Nd 0.973 0.331 0.992
Ho 0.500 0.500 0.500

For Pm4Nd3Ho4, a crystal structure in Alexandria, relaxed with PBE gives the calculated X-ray diffraction stick pattern in this record (CuKα).

The 10 most intense peaks (2θ = 10–80°), sorted by position:
2theta	I/Imax
30.29	303
30.70	161
31.08	380
31.79	1000
33.33	154
44.25	118
46.21	124
55.72	275
61.71	136
61.99	125

Atomic structure:
Cell lengths 10.754, 6.700, 6.700 Å; angles 50.88, 90.00, 90.00 degrees
Sites, in units of the cell vectors:
Pm 0.000 0.000 0.000
Pm 0.212 0.793 0.793
Pm 0.500 0.925 0.925
Pm 0.788 0.793 0.793
Nd 0.000 0.294 0.294
Nd 0.291 0.450 0.450
Nd 0.709 0.450 0.450
Ho 0.000 0.596 0.596
Ho 0.302 0.144 0.144
Ho 0.500 0.653 0.653
Ho 0.698 0.144 0.144

Q: Which formula does entry 3 have?
A: Pm4Nd3Ho4